For V2O3, a PBE+U-relaxed structure gives the theoretical powder X-ray diffraction pattern in this record (a wavelength of 1.5418 Å).
No peak broadening, texture or thermal motion is included.

The 10 most intense peaks (10° ≤ 2θ ≤ 80°), by intensity:
index, two_theta, d_spacing, Rel. int.
1 1 1, 28.0, 3.182, 100
2 2 -1, 46.3, 1.959, 72
0 0 2, 24.8, 3.595, 45
1 1 -4, 52.2, 1.754, 36
0 2 1, 35.9, 2.502, 35
1 1 0, 23.0, 3.873, 33
3 1 0, 51.7, 1.769, 32
2 0 0, 31.8, 2.813, 30
1 1 3, 48.1, 1.893, 30
1 1 -2, 30.8, 2.905, 24

```
data_V2O3
_chemical_formula_sum 'V8 O12'
_symmetry_space_group_name_H-M 'C 1 2/c 1'
_symmetry_Int_Tables_number 15
_cell_length_a 5.8237
_cell_length_b 5.3383
_cell_length_c 7.4429
_cell_angle_alpha 90.00
_cell_angle_beta 104.96
_cell_angle_gamma 90.00
loop_
_symmetry_equiv_pos_as_xyz
'x,y,z'
'-x,-y,-z'
'-x,y,-z+1/2'
'x,-y,z+1/2'
'x+1/2,y+1/2,z'
'-x+1/2,-y+1/2,-z'
'-x+1/2,y+1/2,-z+1/2'
'x+1/2,-y+1/2,z+1/2'
loop_
_atom_site_label
_atom_site_fract_x
_atom_site_fract_y
_atom_site_fract_z
V1 0.1907 0.1302 0.1660
O1 0.0000 0.4045 0.2500
O2 0.1444 0.0537 0.8994
```



For VO2, a PBE+U-relaxed structure gives the theoretical powder X-ray diffraction pattern in this record (a wavelength of 1.5418 Å).
No peak broadening, texture or thermal motion is included.

The 10 most intense peaks (10° ≤ 2θ ≤ 80°), by intensity:
index, two_theta, d_spacing, Rel. int.
1 1 0, 24.9, 3.573, 100
0 0 1, 14.3, 6.210, 55
0 0 2, 28.8, 3.105, 49
2 0 0, 14.9, 5.929, 39
0 2 0, 48.6, 1.873, 36
6 0 -1, 43.9, 2.065, 35
0 0 3, 43.7, 2.070, 31
4 0 -1, 29.4, 3.041, 30
6 2 -1, 67.5, 1.388, 28
7 1 -1, 57.6, 1.600, 24

```
data_VO2
_chemical_formula_sum 'V8 O16'
_symmetry_space_group_name_H-M 'C 1 2/m 1'
_symmetry_Int_Tables_number 12
_cell_length_a 12.3930
_cell_length_b 3.7467
_cell_length_c 6.4901
_cell_angle_alpha 90.00
_cell_angle_beta 106.90
_cell_angle_gamma 90.00
loop_
_symmetry_equiv_pos_as_xyz
'x,y,z'
'-x,-y,-z'
'-x,y,-z'
'x,-y,z'
'x+1/2,y+1/2,z'
'-x+1/2,-y+1/2,-z'
'-x+1/2,y+1/2,-z'
'x+1/2,-y+1/2,z'
loop_
_atom_site_label
_atom_site_fract_x
_atom_site_fract_y
_atom_site_fract_z
V1 0.1012 0.0000 0.1853
V2 0.1962 0.0000 0.7756
O1 0.0575 0.0000 0.8684
O2 0.1347 0.5000 0.2008
O3 0.1391 0.0000 0.5042
O4 0.2379 0.5000 0.8510
```



For V2O5, a PBE+U-relaxed structure gives the theoretical powder X-ray diffraction pattern in this record (a wavelength of 1.5418 Å).
No peak broadening, texture or thermal motion is included.

The 10 most intense peaks (10° ≤ 2θ ≤ 80°), by intensity:
index, two_theta, d_spacing, Rel. int.
0 2 0, 16.4, 5.417, 100
1 1 1, 27.2, 3.283, 43
0 2 1, 18.1, 4.903, 26
0 2 3, 28.5, 3.136, 21
1 3 0, 35.1, 2.556, 18
0 0 4, 31.0, 2.884, 18
1 1 0, 26.0, 3.424, 18
0 0 2, 15.4, 5.768, 13
0 4 0, 33.1, 2.708, 12
2 0 0, 50.6, 1.805, 12

```
data_V2O5
_chemical_formula_sum 'V8 O20'
_symmetry_space_group_name_H-M 'C m c m'
_symmetry_Int_Tables_number 63
_symmetry_space_group_name_Hall '-C 2c 2'
_cell_length_a 3.6091
_cell_length_b 10.8339
_cell_length_c 11.5355
_cell_angle_alpha 90.00
_cell_angle_beta 90.00
_cell_angle_gamma 90.00
loop_
_atom_site_label
_atom_site_fract_x
_atom_site_fract_y
_atom_site_fract_z
V1 0.0000 0.2050 0.1028
O1 0.0000 0.0575 0.1149
O2 0.0000 0.2506 0.5685
O3 0.0000 0.2634 0.2500
```



For V2O5, a PBE+U-relaxed structure gives the theoretical powder X-ray diffraction pattern in this record (a wavelength of 1.5418 Å).
No peak broadening, texture or thermal motion is included.

The 10 most intense peaks (10° ≤ 2θ ≤ 80°), by intensity:
index, two_theta, d_spacing, Rel. int.
2 1 -1, 24.2, 3.672, 100
0 0 2, 21.8, 4.070, 76
2 1 1, 30.7, 2.910, 51
2 0 -2, 22.2, 3.996, 26
0 2 0, 33.4, 2.680, 19
2 1 3, 48.4, 1.880, 14
2 0 -4, 40.3, 2.238, 12
0 1 1, 19.8, 4.476, 12
4 1 -3, 42.8, 2.114, 11
2 1 -2, 27.9, 3.203, 9

```
data_V2O5
_chemical_formula_sum 'V8 O20'
_symmetry_space_group_name_H-M 'P 1 21/c 1'
_symmetry_Int_Tables_number 14
_cell_length_a 10.2297
_cell_length_b 5.3598
_cell_length_c 8.9510
_cell_angle_alpha 90.00
_cell_angle_beta 114.59
_cell_angle_gamma 90.00
loop_
_symmetry_equiv_pos_as_xyz
'x,y,z'
'-x,-y,-z'
'-x,y+1/2,-z+1/2'
'x,-y+1/2,z+1/2'
loop_
_atom_site_label
_atom_site_fract_x
_atom_site_fract_y
_atom_site_fract_z
V1 0.1171 0.0033 0.2932
V2 0.3821 0.5687 0.2077
O1 0.0275 0.2003 0.7299
O2 0.1885 0.5796 0.6672
O3 0.2463 0.5246 0.9989
O4 0.3234 0.0406 0.8378
O5 0.4828 0.6433 0.7889
```



For VO2, a PBE+U-relaxed structure gives the theoretical powder X-ray diffraction pattern in this record (a wavelength of 1.5418 Å).
No peak broadening, texture or thermal motion is included.

The 10 most intense peaks (10° ≤ 2θ ≤ 80°), by intensity:
index, two_theta, d_spacing, Rel. int.
1 1 0, 14.6, 6.086, 100
2 2 0, 29.4, 3.043, 75
2 1 2, 32.8, 2.734, 72
1 0 2, 25.2, 3.539, 68
3 3 0, 44.7, 2.029, 56
0 0 4, 46.8, 1.941, 35
5 2 2, 62.9, 1.478, 27
3 3 4, 66.7, 1.403, 26
4 3 2, 58.7, 1.574, 23
2 2 4, 56.2, 1.637, 20

```
data_VO2
_chemical_formula_sum 'V16 O32'
_symmetry_space_group_name_H-M 'P 4/n c c'
_symmetry_Int_Tables_number 130
_cell_length_a 8.6070
_cell_length_b 8.6070
_cell_length_c 7.7656
_cell_angle_alpha 90.00
_cell_angle_beta 90.00
_cell_angle_gamma 90.00
loop_
_symmetry_equiv_pos_as_xyz
'x,y,z'
'-x,-y,-z'
'-y+1/2,x,z'
'y+1/2,-x,-z'
'-x+1/2,-y+1/2,z'
'x+1/2,y+1/2,-z'
'y,-x+1/2,z'
'-y,x+1/2,-z'
'x+1/2,-y,-z+1/2'
'-x+1/2,y,z+1/2'
'-y,-x,-z+1/2'
'y,x,z+1/2'
'-x,y+1/2,-z+1/2'
'x,-y+1/2,z+1/2'
'y+1/2,x+1/2,-z+1/2'
'-y+1/2,-x+1/2,z+1/2'
loop_
_atom_site_label
_atom_site_fract_x
_atom_site_fract_y
_atom_site_fract_z
V1 0.0483 0.7317 0.1246
O1 0.0891 0.0895 0.3748
O2 0.0998 0.7452 0.3748
```